Record 1
The following is a theoretical X-ray diffraction stick pattern of Cs2LaIO6. It was derived from the PBE geometry in Alexandria, using λ = 1.5418 Å (Cu Kα).
Peak positions follow from Bragg's law for the DFT cell and can differ from measured ones.

Main lines, by angle (10° ≤ 2θ ≤ 90°):
2θ/deg  I/Imax
14.30  28
14.90  49
20.71  35
25.96  100
32.61  38
39.19  26
42.14  30
50.17  27

Cell and atoms:
```
data_Cs2LaIO6
_chemical_formula_sum 'Cs2 La1 I1 O6'
_space_group_name_H-M_alt 'P -3 m 1'
_space_group_IT_number 164
_space_group_name_Hall '-P 3 2"'
_cell_length_a 6.8638
_cell_length_b 6.8638
_cell_length_c 6.1930
_cell_angle_alpha 90.00
_cell_angle_beta 90.00
_cell_angle_gamma 120.00
loop_
_atom_site_label
_atom_site_type_symbol
_atom_site_fract_x
_atom_site_fract_y
_atom_site_fract_z
_atom_site_occupancy
Cs1 Cs 0.3333 0.6667 0.1120 1
La1 La 0.0000 0.0000 0.5000 1
I1 I 0.0000 0.0000 0.0000 1
O1 O 0.1288 0.2576 0.8115 1
```

Record 2
The following is a theoretical X-ray diffraction stick pattern of Cs2La10Ru2I17. It was derived from the PBE geometry in Alexandria, using λ = 1.5418 Å (Cu Kα).
Peak positions follow from Bragg's law for the DFT cell and can differ from measured ones.

Main lines, by angle (10° ≤ 2θ ≤ 90°):
2θ/deg  I/Imax
23.80  32
24.50  33
27.73  100
27.80  96
28.35  100
39.19  34
39.67  68
40.12  62

Cell and atoms:
```
data_Cs2La10Ru2I17
_chemical_formula_sum 'Cs4 La20 Ru4 I34'
_space_group_name_H-M_alt 'C 1 2/m 1'
_space_group_IT_number 12
_space_group_name_Hall '-C 2y'
_cell_length_a 14.098
_cell_length_b 19.257
_cell_length_c 10.114
_cell_angle_alpha 90.00
_cell_angle_beta 95.57
_cell_angle_gamma 90.00
loop_
_atom_site_label
_atom_site_type_symbol
_atom_site_fract_x
_atom_site_fract_y
_atom_site_fract_z
_atom_site_occupancy
Cs1 Cs 0.000 0.176 0.000 1
La1 La 0.065 0.500 0.678 1
La2 La 0.141 0.349 0.429 1
La3 La 0.170 0.000 0.439 1
La4 La 0.205 0.500 0.187 1
Ru1 Ru 0.143 0.500 0.430 1
I1 I 0.000 0.500 0.000 1
I2 I 0.064 0.000 0.715 1
I3 I 0.073 0.326 0.728 1
I4 I 0.144 0.169 0.417 1
I5 I 0.212 0.000 0.128 1
I6 I 0.217 0.333 0.141 1
```

Record 3
The following is a theoretical X-ray diffraction stick pattern of CsLaTeI. It was derived from the PBE geometry in Alexandria, using λ = 1.5418 Å (Cu Kα).
Peak positions follow from Bragg's law for the DFT cell and can differ from measured ones.

Main lines, by angle (10° ≤ 2θ ≤ 90°):
2θ/deg  I/Imax
23.02  19
25.56  15
27.31  100
31.56  21
38.81  43
39.22  27
48.10  21
63.44  18

Cell and atoms:
```
data_CsLaTeI
_chemical_formula_sum 'Cs3 La3 Te3 I3'
_space_group_name_H-M_alt 'R 3 m'
_space_group_IT_number 160
_space_group_name_Hall 'R 3 -2"'
_cell_length_a 4.6412
_cell_length_b 4.6412
_cell_length_c 27.9939
_cell_angle_alpha 90.00
_cell_angle_beta 90.00
_cell_angle_gamma 120.00
loop_
_atom_site_label
_atom_site_type_symbol
_atom_site_fract_x
_atom_site_fract_y
_atom_site_fract_z
_atom_site_occupancy
Cs1 Cs 0.0000 0.0000 0.0000 1
La1 La 0.0000 0.0000 0.1805 1
Te1 Te 0.0000 0.0000 0.5767 1
I1 I 0.0000 0.0000 0.7726 1
```

Record 4
The following is a theoretical X-ray diffraction stick pattern of Cs2LaWI6. It was derived from the PBE geometry in Alexandria, using λ = 1.5418 Å (Cu Kα).
Peak positions follow from Bragg's law for the DFT cell and can differ from measured ones.

Main lines, by angle (10° ≤ 2θ ≤ 90°):
2θ/deg  I/Imax
14.88  31
21.11  31
25.93  53
30.02  100
42.98  72
53.31  25
70.79  30
78.76  22

Cell and atoms:
```
data_Cs2LaWI6
_chemical_formula_sum 'Cs8 La4 W4 I24'
_space_group_name_H-M_alt 'F m -3 m'
_space_group_IT_number 225
_space_group_name_Hall '-F 4 2 3'
_cell_length_a 11.905
_cell_length_b 11.905
_cell_length_c 11.905
_cell_angle_alpha 90.00
_cell_angle_beta 90.00
_cell_angle_gamma 90.00
loop_
_atom_site_label
_atom_site_type_symbol
_atom_site_fract_x
_atom_site_fract_y
_atom_site_fract_z
_atom_site_occupancy
Cs1 Cs 0.250 0.250 0.250 1
La1 La 0.000 0.000 0.000 1
W1 W 0.000 0.000 0.500 1
I1 I 0.000 0.000 0.265 1
```